# 1
Diffraction record for Ba3Ce2C5O15F2. The X-ray powder pattern is computed, not measured: it uses a crystal structure in the Materials Project, relaxed with PBE and Cu Kα (λ = 1.5418 Å).

Peak list (6 most intense, 2θ = 5–70°, low angle first)
(hkl)  2θ (°)  I (rel.)
3 1 -1  22.0  100.0
1 1 3  27.0  82.0
6 0 -2  27.2  53.9
7 1 1  35.1  35.6
2 0 6  42.1  39.6
2 2 -4  44.8  34.5

```
data_Ba3Ce2C5O15F2
_chemical_formula_sum 'Ba12 Ce8 C20 O60 F8'
_space_group_name_H-M_alt 'C 1 2/m 1'
_space_group_IT_number 12
_space_group_name_Hall '-C 2y'
_cell_length_a 21.629
_cell_length_b 5.148
_cell_length_c 13.404
_cell_angle_alpha 90.00
_cell_angle_beta 94.68
_cell_angle_gamma 90.00
loop_
_atom_site_label
_atom_site_type_symbol
_atom_site_fract_x
_atom_site_fract_y
_atom_site_fract_z
_atom_site_occupancy
Ba1 Ba 0.000 0.000 0.000 1
Ba2 Ba 0.000 0.500 0.500 1
Ba3 Ba 0.186 0.000 0.595 1
Ba4 Ba 0.192 0.500 0.100 1
Ce1 Ce 0.100 0.000 0.315 1
Ce2 Ce 0.106 0.500 0.788 1
C1 C 0.041 0.000 0.700 1
C2 C 0.048 0.500 0.147 1
C3 C 0.150 0.000 0.959 1
C4 C 0.160 0.500 0.402 1
C5 C 0.246 0.500 0.775 1
O1 O 0.010 0.500 0.885 1
O2 O 0.012 0.218 0.686 1
O3 O 0.078 0.281 0.160 1
O4 O 0.099 0.000 0.734 1
O5 O 0.102 0.500 0.368 1
O6 O 0.121 0.218 0.940 1
O7 O 0.189 0.280 0.416 1
O8 O 0.194 0.000 0.220 1
O9 O 0.205 0.000 0.003 1
O10 O 0.215 0.283 0.775 1
F1 F 0.074 0.000 0.482 1
F2 F 0.125 0.500 0.615 1
```



# 2
Diffraction record for P3H. The X-ray powder pattern is computed, not measured: it uses a crystal structure in the Materials Project, relaxed with PBE and Cu Kα (λ = 1.5418 Å).

Peak list (6 most intense, 2θ = 5–70°, low angle first)
(hkl)  2θ (°)  I (rel.)
1 1 1  26.9  29.7
2 0 0  31.2  14.7
2 2 0  44.7  100.0
3 1 1  52.9  11.9
2 2 2  55.5  3.4
4 0 0  65.0  15.5

```
data_P3H
_chemical_formula_sum 'P12 H4'
_space_group_name_H-M_alt 'F m -3 m'
_space_group_IT_number 225
_space_group_name_Hall '-F 4 2 3'
_cell_length_a 5.738
_cell_length_b 5.738
_cell_length_c 5.738
_cell_angle_alpha 90.00
_cell_angle_beta 90.00
_cell_angle_gamma 90.00
loop_
_atom_site_label
_atom_site_type_symbol
_atom_site_fract_x
_atom_site_fract_y
_atom_site_fract_z
_atom_site_occupancy
P1 P 0.000 0.000 0.000 1
P2 P 0.250 0.250 0.250 1
H1 H 0.000 0.000 0.500 1
```



# 3
Diffraction record for Hf10MnSb5. The X-ray powder pattern is computed, not measured: it uses a crystal structure in the Materials Project, relaxed with PBE and Cu Kα (λ = 1.5418 Å).

Peak list (6 most intense, 2θ = 5–70°, low angle first)
(hkl)  2θ (°)  I (rel.)
3 2 1  33.4  51.7
2 0 2  36.2  33.5
4 2 0  36.3  43.0
4 1 1  37.2  100.0
2 2 2  39.8  35.6
5 5 0  59.0  27.2

```
data_Hf10MnSb5
_chemical_formula_sum 'Hf20 Mn2 Sb10'
_space_group_name_H-M_alt 'I 4 2 2'
_space_group_IT_number 97
_space_group_name_Hall 'I 4 2'
_cell_length_a 11.064
_cell_length_b 11.064
_cell_length_c 5.555
_cell_angle_alpha 90.00
_cell_angle_beta 90.00
_cell_angle_gamma 90.00
loop_
_atom_site_label
_atom_site_type_symbol
_atom_site_fract_x
_atom_site_fract_y
_atom_site_fract_z
_atom_site_occupancy
Hf1 Hf 0.000 0.500 0.000 1
Hf2 Hf 0.076 0.214 0.239 1
Mn1 Mn 0.000 0.000 0.000 1
Sb1 Sb 0.000 0.000 0.500 1
Sb2 Sb 0.164 0.336 0.750 1
```



# 4
Diffraction record for Ho2ZnTc. The X-ray powder pattern is computed, not measured: it uses a crystal structure in the Materials Project, relaxed with PBE and Cu Kα (λ = 1.5418 Å).

Peak list (6 most intense, 2θ = 5–70°, low angle first)
(hkl)  2θ (°)  I (rel.)
2 0 0  25.7  11.6
2 2 0  36.6  100.0
2 2 2  45.3  3.6
4 0 0  52.8  17.4
4 2 0  59.6  4.9
4 2 2  66.0  35.3

```
data_Ho2ZnTc
_chemical_formula_sum 'Ho8 Zn4 Tc4'
_space_group_name_H-M_alt 'F m -3 m'
_space_group_IT_number 225
_space_group_name_Hall '-F 4 2 3'
_cell_length_a 6.939
_cell_length_b 6.939
_cell_length_c 6.939
_cell_angle_alpha 90.00
_cell_angle_beta 90.00
_cell_angle_gamma 90.00
loop_
_atom_site_label
_atom_site_type_symbol
_atom_site_fract_x
_atom_site_fract_y
_atom_site_fract_z
_atom_site_occupancy
Ho1 Ho 0.250 0.250 0.250 1
Zn1 Zn 0.000 0.000 0.000 1
Tc1 Tc 0.000 0.000 0.500 1
```



# 5
Diffraction record for Sr3LaCuRuO8. The X-ray powder pattern is computed, not measured: it uses a crystal structure in the Materials Project, relaxed with PBE and Cu Kα (λ = 1.5418 Å).

Peak list (6 most intense, 2θ = 5–70°, low angle first)
(hkl)  2θ (°)  I (rel.)
1 1 3  31.1  100.0
2 0 0  32.0  71.2
0 0 6  43.3  28.9
2 2 0  45.8  37.8
3 1 3  56.4  22.6
1 3 3  56.5  18.9

```
data_Sr3LaCuRuO8
_chemical_formula_sum 'Sr6 La2 Cu2 Ru2 O16'
_space_group_name_H-M_alt 'A m m 2'
_space_group_IT_number 38
_space_group_name_Hall 'A 2 -2'
_cell_length_a 5.606
_cell_length_b 5.593
_cell_length_c 12.545
_cell_angle_alpha 90.00
_cell_angle_beta 90.00
_cell_angle_gamma 90.00
loop_
_atom_site_label
_atom_site_type_symbol
_atom_site_fract_x
_atom_site_fract_y
_atom_site_fract_z
_atom_site_occupancy
Sr1 Sr 0.000 0.000 0.000 1
Sr2 Sr 0.000 0.000 0.283 1
Sr3 Sr 0.500 0.000 0.498 1
La1 La 0.500 0.000 0.784 1
Cu1 Cu 0.500 0.000 0.139 1
Ru1 Ru 0.000 0.000 0.637 1
O1 O 0.000 0.000 0.479 1
O2 O 0.000 0.000 0.804 1
O3 O 0.249 0.243 0.645 1
O4 O 0.500 0.000 0.307 1
O5 O 0.500 0.000 0.966 1
```



# 6
Diffraction record for Sr2GdRuO6. The X-ray powder pattern is computed, not measured: it uses a crystal structure in the Materials Project, relaxed with PBE and Cu Kα (λ = 1.5418 Å).

Peak list (6 most intense, 2θ = 5–70°, low angle first)
(hkl)  2θ (°)  I (rel.)
0 2 0  30.2  32.8
1 1 1  30.4  68.1
1 1 -3  30.6  100.0
2 2 -2  43.6  35.9
2 0 2  54.0  22.8
3 1 -5  54.5  22.6

```
data_Sr2GdRuO6
_chemical_formula_sum 'Sr4 Gd2 Ru2 O12'
_space_group_name_H-M_alt 'P 1 21/c 1'
_space_group_IT_number 14
_space_group_name_Hall '-P 2ybc'
_cell_length_a 5.837
_cell_length_b 5.919
_cell_length_c 10.099
_cell_angle_alpha 90.00
_cell_angle_beta 124.84
_cell_angle_gamma 90.00
loop_
_atom_site_label
_atom_site_type_symbol
_atom_site_fract_x
_atom_site_fract_y
_atom_site_fract_z
_atom_site_occupancy
Sr1 Sr 0.240 0.040 0.249 1
Gd1 Gd 0.500 0.000 0.000 1
Ru1 Ru 0.000 0.000 0.500 1
O1 O 0.149 0.228 0.956 1
O2 O 0.229 0.696 0.959 1
O3 O 0.312 0.023 0.732 1
```



# 7
Diffraction record for K8MgSi8O24. The X-ray powder pattern is computed, not measured: it uses a crystal structure in the Materials Project, relaxed with PBE and Cu Kα (λ = 1.5418 Å).

Peak list (6 most intense, 2θ = 5–70°, low angle first)
(hkl)  2θ (°)  I (rel.)
1 0 1  14.2  20.2
0 2 2  26.3  34.6
-1 2 1  27.2  32.3
0 2 -2  28.5  100.0
2 0 -2  28.9  55.3
2 2 0  30.3  35.2

```
data_K8MgSi8O24
_chemical_formula_sum 'K8 Mg1 Si8 O24'
_space_group_name_H-M_alt 'P 1'
_space_group_IT_number 1
_space_group_name_Hall 'P 1'
_cell_length_a 7.600
_cell_length_b 8.153
_cell_length_c 11.072
_cell_angle_alpha 85.06
_cell_angle_beta 88.68
_cell_angle_gamma 82.24
loop_
_atom_site_label
_atom_site_type_symbol
_atom_site_fract_x
_atom_site_fract_y
_atom_site_fract_z
_atom_site_occupancy
K1 K 0.000 0.000 0.000 1
K2 K 0.037 0.010 0.486 1
K3 K 0.169 0.316 0.723 1
K4 K 0.343 0.166 0.207 1
K5 K 0.440 0.424 0.939 1
K6 K 0.553 0.503 0.513 1
K7 K 0.752 0.862 0.305 1
K8 K 0.821 0.667 0.761 1
Mg1 Mg 0.609 0.657 0.136 1
Si1 Si 0.010 0.479 0.424 1
Si2 Si 0.029 0.551 0.067 1
Si3 Si 0.236 0.705 0.250 1
Si4 Si 0.316 0.783 0.748 1
Si5 Si 0.488 0.971 0.935 1
Si6 Si 0.515 0.995 0.565 1
Si7 Si 0.709 0.169 0.749 1
Si8 Si 0.824 0.336 0.219 1
O1 O 0.004 0.361 0.131 1
O2 O 0.073 0.520 0.925 1
O3 O 0.110 0.634 0.361 1
O4 O 0.110 0.810 0.795 1
O5 O 0.147 0.313 0.459 1
O6 O 0.170 0.904 0.227 1
O7 O 0.213 0.599 0.129 1
O8 O 0.323 0.117 0.933 1
O9 O 0.341 0.923 0.632 1
O10 O 0.356 0.593 0.712 1
O11 O 0.446 0.678 0.282 1
O12 O 0.460 0.812 0.852 1
O13 O 0.473 0.061 0.425 1
O14 O 0.537 0.889 0.070 1
O15 O 0.562 0.146 0.645 1
O16 O 0.644 0.410 0.146 1
O17 O 0.666 0.048 0.871 1
O18 O 0.683 0.853 0.546 1
O19 O 0.694 0.364 0.772 1
O20 O 0.842 0.143 0.270 1
O21 O 0.844 0.458 0.334 1
O22 O 0.862 0.686 0.097 1
O23 O 0.915 0.123 0.710 1
O24 O 0.931 0.520 0.557 1
```



# 8
Diffraction record for LiRh3. The X-ray powder pattern is computed, not measured: it uses a crystal structure in the Materials Project, relaxed with PBE and Cu Kα (λ = 1.5418 Å).

Peak list (6 most intense, 2θ = 5–70°, low angle first)
(hkl)  2θ (°)  I (rel.)
0 2 0  20.4  15.9
0 1 1  21.5  30.1
1 0 1  38.5  31.1
0 4 0  41.6  25.2
0 2 2  44.0  100.0
1 4 1  57.9  18.1

```
data_LiRh3
_chemical_formula_sum 'Li2 Rh6'
_space_group_name_H-M_alt 'I m m 2'
_space_group_IT_number 44
_space_group_name_Hall 'I 2 -2'
_cell_length_a 2.698
_cell_length_b 8.691
_cell_length_c 4.684
_cell_angle_alpha 90.00
_cell_angle_beta 90.00
_cell_angle_gamma 90.00
loop_
_atom_site_label
_atom_site_type_symbol
_atom_site_fract_x
_atom_site_fract_y
_atom_site_fract_z
_atom_site_occupancy
Li1 Li 0.000 0.000 0.000 1
Rh1 Rh 0.000 0.244 0.676 1
Rh2 Rh 0.000 0.500 0.990 1
```



# 9
Diffraction record for Ce2Cd17. The X-ray powder pattern is computed, not measured: it uses a crystal structure in the Materials Project, relaxed with PBE and Cu Kα (λ = 1.5418 Å).

Peak list (6 most intense, 2θ = 5–70°, low angle first)
(hkl)  2θ (°)  I (rel.)
0 3 3  29.2  35.6
0 4 2  33.8  47.8
2 3 3  34.1  100.0
4 0 0  35.0  33.8
2 4 2  38.2  64.9
6 3 3  62.2  24.7

```
data_Ce2Cd17
_chemical_formula_sum 'Ce4 Cd34'
_space_group_name_H-M_alt 'P 1'
_space_group_IT_number 1
_space_group_name_Hall 'P 1'
_cell_length_a 10.264
_cell_length_b 10.590
_cell_length_c 10.592
_cell_angle_alpha 60.05
_cell_angle_beta 89.90
_cell_angle_gamma 89.96
loop_
_atom_site_label
_atom_site_type_symbol
_atom_site_fract_x
_atom_site_fract_y
_atom_site_fract_z
_atom_site_occupancy
Ce1 Ce 0.000 0.000 0.000 1
Ce2 Ce 0.000 0.333 0.333 1
Ce3 Ce 0.500 0.334 0.333 1
Ce4 Ce 0.500 0.667 0.667 1
Cd1 Cd 0.000 0.341 0.665 1
Cd2 Cd 0.000 0.341 0.994 1
Cd3 Cd 0.000 0.665 0.341 1
Cd4 Cd 0.000 0.665 0.994 1
Cd5 Cd 0.000 0.994 0.341 1
Cd6 Cd 0.000 0.994 0.665 1
Cd7 Cd 0.152 0.667 0.667 1
Cd8 Cd 0.245 0.171 0.657 1
Cd9 Cd 0.245 0.172 0.171 1
Cd10 Cd 0.245 0.657 0.171 1
Cd11 Cd 0.250 0.333 0.833 1
Cd12 Cd 0.250 0.833 0.333 1
Cd13 Cd 0.250 0.833 0.833 1
Cd14 Cd 0.255 0.010 0.495 1
Cd15 Cd 0.255 0.495 0.010 1
Cd16 Cd 0.255 0.495 0.495 1
Cd17 Cd 0.349 0.000 0.000 1
Cd18 Cd 0.500 0.003 0.325 1
Cd19 Cd 0.500 0.003 0.672 1
Cd20 Cd 0.500 0.325 0.003 1
Cd21 Cd 0.500 0.325 0.672 1
Cd22 Cd 0.500 0.672 0.003 1
Cd23 Cd 0.500 0.672 0.325 1
Cd24 Cd 0.652 0.000 0.000 1
Cd25 Cd 0.745 0.010 0.495 1
Cd26 Cd 0.745 0.495 0.010 1
Cd27 Cd 0.745 0.495 0.495 1
Cd28 Cd 0.750 0.333 0.833 1
Cd29 Cd 0.750 0.833 0.333 1
Cd30 Cd 0.750 0.833 0.833 1
Cd31 Cd 0.755 0.172 0.171 1
Cd32 Cd 0.755 0.172 0.657 1
Cd33 Cd 0.755 0.657 0.171 1
Cd34 Cd 0.848 0.667 0.667 1
```